# 1
MgTe4MoW3Se2S2: computed XRD peak list (λ = 1.5418 Å (Cu Kα)), based on a structure optimized by DFT (PBE).
Kinematic intensities with the Lorentz-polarization factor, no thermal factor.

Cell and atoms:
Cell lengths 3.3896, 3.3896, 46.7577 Å; angles 90.00, 90.00, 120.00 degrees
Space group P3m1 (No. 156)
Inequivalent atoms, fractional coordinates:
Mg 0.0000 0.0000 0.0000 (multiplicity 1)
Te 0.3333 0.6667 0.0653 (multiplicity 1)
Te 0.3333 0.6667 0.1464 (multiplicity 1)
Te 0.3333 0.6667 0.6837 (multiplicity 1)
Te 0.3333 0.6667 0.7641 (multiplicity 1)
Mo 0.6667 0.3333 0.7239 (multiplicity 1)
W 0.3333 0.6667 0.5359 (multiplicity 1)
W 0.3333 0.6667 0.9030 (multiplicity 1)
W 0.6667 0.3333 0.1061 (multiplicity 1)
Se 0.6667 0.3333 0.5005 (multiplicity 1)
Se 0.6667 0.3333 0.5714 (multiplicity 1)
S 0.6667 0.3333 0.8709 (multiplicity 1)
S 0.6667 0.3333 0.9353 (multiplicity 1)

Main lines, by angle (10 to 80 degrees two-theta):
- 11.35°, intensity 48, hkl 0 0 6
- 30.46°, intensity 58, hkl 1 0 0
- 31.95°, intensity 31, hkl 1 0 5
- 32.60°, intensity 17, hkl 0 1 6
- 34.18°, intensity 79, hkl 1 0 8
- 37.22°, intensity 26, hkl 1 0 11
- 39.63°, intensity 100, hkl 1 0 13
- 40.93°, intensity 22, hkl 1 0 14
- 42.29°, intensity 15, hkl 0 1 15
- 54.12°, intensity 39, hkl 1 1 0
- 55.07°, intensity 22, hkl 1 1 5
- 69.12°, intensity 19, hkl 0 2 13



# 2
Dy2MgCu4O8: computed XRD peak list (λ = 1.5418 Å (Cu Kα)), based on a structure optimized by DFT (PBE).
Kinematic intensities with the Lorentz-polarization factor, no thermal factor.

Cell and atoms:
Cell lengths 5.6656, 5.6682, 6.9643 Å; angles 113.97, 113.90, 90.06 degrees
Space group P1 (No. 1)
Inequivalent atoms, fractional coordinates:
Dy 0.0000 0.0000 0.0000 (multiplicity 1)
Dy 0.2500 0.7503 0.4996 (multiplicity 1)
Mg 0.4997 0.4996 0.0001 (multiplicity 1)
Cu 0.0607 0.3111 0.6703 (multiplicity 1)
Cu 0.6096 0.3597 0.6705 (multiplicity 1)
Cu 0.6405 0.9393 0.3287 (multiplicity 1)
Cu 0.6895 0.3906 0.3299 (multiplicity 1)
O 0.2472 0.1436 0.8486 (multiplicity 1)
O 0.2946 0.7525 0.1509 (multiplicity 1)
O 0.3893 0.3551 0.3696 (multiplicity 1)
O 0.6014 0.7054 0.8492 (multiplicity 1)
O 0.6453 0.0200 0.6300 (multiplicity 1)
O 0.8563 0.3985 0.1506 (multiplicity 1)
O 0.9804 0.0150 0.3693 (multiplicity 1)
O 0.9853 0.6109 0.6306 (multiplicity 1)

Main lines, by angle (10 to 80 degrees two-theta):
- 27.20°, intensity 100, hkl 1 -1 1
- 28.27°, intensity 49, hkl 0 1 1
- 31.58°, intensity 16, hkl 2 0 -1
- 35.37°, intensity 19, hkl 2 0 -2
- 36.31°, intensity 84, hkl 2 1 -1
- 42.73°, intensity 26, hkl 1 0 -3
- 42.89°, intensity 15, hkl 1 2 0
- 45.11°, intensity 36, hkl 2 0 1
- 53.61°, intensity 31, hkl 3 -1 0
- 54.20°, intensity 16, hkl 0 3 -3
- 56.08°, intensity 17, hkl -2 2 2
- 59.36°, intensity 22, hkl 3 2 -3



# 3
GdSi2Rh3: computed XRD peak list (λ = 1.5418 Å (Cu Kα)), based on a structure optimized by DFT (PBE).
Kinematic intensities with the Lorentz-polarization factor, no thermal factor.

Cell and atoms:
Cell lengths 5.5527, 5.5527, 3.6750 Å; angles 90.00, 90.00, 120.00 degrees
Space group P6/mmm (No. 191)
Inequivalent atoms, fractional coordinates:
Gd 0.0000 0.0000 0.0000 (multiplicity 1)
Si 0.3333 0.6667 0.0000 (multiplicity 2)
Rh 0.0000 0.5000 0.5000 (multiplicity 3)

Main lines, by angle (10 to 80 degrees two-theta):
- 30.62°, intensity 94, hkl 1 0 1
- 32.24°, intensity 9, hkl 1 1 0
- 37.40°, intensity 100, hkl 2 0 0
- 40.73°, intensity 81, hkl 1 1 1
- 45.06°, intensity 21, hkl 2 0 1
- 49.61°, intensity 21, hkl 0 0 2
- 56.48°, intensity 33, hkl 2 1 1
- 63.30°, intensity 22, hkl 3 0 1
- 63.75°, intensity 41, hkl 2 0 2
- 67.47°, intensity 25, hkl 2 2 0
- 75.89°, intensity 14, hkl 3 1 1
- 79.77°, intensity 11, hkl 4 0 0



# 4
HfMo2: computed XRD peak list (λ = 1.5418 Å (Cu Kα)), based on a structure optimized by DFT (PBE).
Kinematic intensities with the Lorentz-polarization factor, no thermal factor.

Cell and atoms:
Cell lengths 3.2355, 4.8109, 13.5644 Å; angles 90.00, 90.00, 90.00 degrees
Space group Fmmm (No. 69)
Inequivalent atoms, fractional coordinates:
Hf 0.0000 0.0000 0.0000 (multiplicity 4)
Mo 0.0000 0.0000 0.3255 (multiplicity 8)

Main lines, by angle (10 to 80 degrees two-theta):
- 13.05°, intensity 9, hkl 0 0 2
- 26.28°, intensity 6, hkl 0 0 4
- 34.04°, intensity 8, hkl 1 1 1
- 37.38°, intensity 29, hkl 0 2 0
- 39.02°, intensity 100, hkl 1 1 3
- 39.88°, intensity 23, hkl 0 0 6
- 55.81°, intensity 17, hkl 0 2 6
- 56.92°, intensity 8, hkl 2 0 0
- 68.52°, intensity 19, hkl 1 3 3
- 70.10°, intensity 9, hkl 2 2 0
- 71.74°, intensity 8, hkl 2 0 6
- 71.83°, intensity 15, hkl 1 1 9



# 5
Sc5Ga3: computed XRD peak list (λ = 1.5418 Å (Cu Kα)), based on a structure optimized by DFT (PBE).
Kinematic intensities with the Lorentz-polarization factor, no thermal factor.

Cell and atoms:
Cell lengths 8.0920, 14.0801, 5.9647 Å; angles 90.00, 91.31, 90.00 degrees
Space group C2/m (No. 12)
Inequivalent atoms, fractional coordinates:
Sc 0.0000 0.1548 0.0000 (multiplicity 4)
Sc 0.0000 0.1786 0.5000 (multiplicity 4)
Sc 0.1215 0.3795 0.2448 (multiplicity 8)
Sc 0.2367 0.5000 0.7423 (multiplicity 4)
Ga 0.0966 0.0000 0.7075 (multiplicity 4)
Ga 0.2001 0.2997 0.7725 (multiplicity 8)

Main lines, by angle (10 to 80 degrees two-theta):
- 12.60°, intensity 33, hkl 1 1 0
- 26.39°, intensity 24, hkl 2 0 -1
- 29.97°, intensity 55, hkl 0 0 2
- 33.73°, intensity 28, hkl 1 5 0
- 36.85°, intensity 100, hkl 2 4 -1
- 37.09°, intensity 86, hkl 1 5 1
- 37.23°, intensity 73, hkl 1 3 -2
- 37.46°, intensity 40, hkl 3 1 1
- 37.63°, intensity 38, hkl 1 3 2
- 38.50°, intensity 46, hkl 3 3 0
- 40.08°, intensity 23, hkl 2 2 2
- 48.99°, intensity 29, hkl 3 5 -1



# 6
ZrSiAs: computed XRD peak list (λ = 1.5418 Å (Cu Kα)), based on a structure optimized by DFT (PBE).
Kinematic intensities with the Lorentz-polarization factor, no thermal factor.

Cell and atoms:
Cell lengths 6.5290, 3.5932, 9.3640 Å; angles 90.00, 90.00, 90.00 degrees
Space group Pnma (No. 62)
Inequivalent atoms, fractional coordinates:
Zr 0.2273 0.2500 0.1630 (multiplicity 4)
Si 0.1166 0.2500 0.4599 (multiplicity 4)
As 0.1141 0.2500 0.8608 (multiplicity 4)

Main lines, by angle (10 to 80 degrees two-theta):
- 27.32°, intensity 19, hkl 2 0 0
- 29.95°, intensity 40, hkl 1 1 1
- 31.78°, intensity 28, hkl 1 0 3
- 34.33°, intensity 23, hkl 1 1 2
- 37.21°, intensity 49, hkl 2 1 0
- 38.47°, intensity 53, hkl 0 0 4
- 40.71°, intensity 100, hkl 1 1 3
- 40.96°, intensity 12, hkl 1 0 4
- 45.99°, intensity 35, hkl 3 0 2
- 50.82°, intensity 23, hkl 0 2 0
- 63.37°, intensity 16, hkl 4 1 1
- 70.94°, intensity 19, hkl 3 2 2